Entry 1:
Structure and simulated PXRD pattern of LiBe2Ge2 (a structure optimized by DFT (PBE); λ = 1.5418 Å (Cu Kα)).
No peak broadening, texture or thermal motion is included.

Structure:
```
data_LiBe2Ge2
_cell_length_a 3.7829
_cell_length_b 3.7829
_cell_length_c 10.4798
_cell_angle_alpha 90.00
_cell_angle_beta 90.00
_cell_angle_gamma 90.00
_space_group_name_H-M_alt 'I 4/m m m'
_space_group_IT_number 139
_space_group_name_Hall '-I 4 2'
loop_
_atom_site_label
_atom_site_fract_x
_atom_site_fract_y
_atom_site_fract_z
Li1 0.0000 0.0000 0.0000
Be1 0.0000 0.0000 0.3987
Ge1 0.0000 0.5000 0.2500
```

The 6 most intense peaks (10° ≤ 2θ ≤ 90°), in order of falling intensity:
hkl 0 0 2, 16.9 deg, I 100.0
hkl 1 1 2, 37.8 deg, I 68.1
hkl 1 1 0, 33.5 deg, I 33.1
hkl 1 1 4, 48.6 deg, I 30.9
hkl 2 0 2, 51.4 deg, I 22.0
hkl 0 0 4, 34.2 deg, I 18.6

---

Entry 2:
Structure and simulated PXRD pattern of LiBe2Ge (a structure optimized by DFT (PBE); λ = 1.5418 Å (Cu Kα)).
No peak broadening, texture or thermal motion is included.

Structure:
```
data_LiBe2Ge
_cell_length_a 4.1877
_cell_length_b 4.1877
_cell_length_c 15.1305
_cell_angle_alpha 90.00
_cell_angle_beta 90.00
_cell_angle_gamma 90.00
_space_group_name_H-M_alt 'I 41/a m d'
_space_group_IT_number 141
loop_
_space_group_symop_operation_xyz
'x,y,z'
'-x,-y,-z'
'-y+1/4,x+3/4,z+1/4'
'y+1/4,-x+3/4,-z+1/4'
'-x+1/2,-y,z+1/2'
'x+1/2,y,-z+1/2'
'y+1/4,-x+1/4,z+3/4'
'-y+1/4,x+1/4,-z+3/4'
'x,-y,-z'
'-x,y,z'
'-y+1/4,-x+1/4,-z+3/4'
'y+1/4,x+1/4,z+3/4'
'-x+1/2,y,-z+1/2'
'x+1/2,-y,z+1/2'
'y+1/4,x+3/4,-z+1/4'
'-y+1/4,-x+3/4,z+1/4'
'x+1/2,y+1/2,z+1/2'
'-x+1/2,-y+1/2,-z+1/2'
'-y+3/4,x+1/4,z+3/4'
'y+3/4,-x+1/4,-z+3/4'
'-x,-y+1/2,z'
'x,y+1/2,-z'
'y+3/4,-x+3/4,z+1/4'
'-y+3/4,x+3/4,-z+1/4'
'x+1/2,-y+1/2,-z+1/2'
'-x+1/2,y+1/2,z+1/2'
'-y+3/4,-x+3/4,-z+1/4'
'y+3/4,x+3/4,z+1/4'
'-x,y+1/2,-z'
'x,-y+1/2,z'
'y+3/4,x+1/4,-z+3/4'
'-y+3/4,-x+1/4,z+3/4'
loop_
_atom_site_label
_atom_site_fract_x
_atom_site_fract_y
_atom_site_fract_z
Li1 0.0000 0.2500 0.3750
Be1 0.0000 0.0000 0.0000
Ge1 0.0000 0.2500 0.8750
```

The 6 most intense peaks (10° ≤ 2θ ≤ 90°), in order of falling intensity:
hkl 1 0 1, 22.0 deg, I 100.0
hkl 1 1 2, 32.5 deg, I 74.9
hkl 1 1 6, 47.3 deg, I 37.9
hkl 1 0 3, 27.7 deg, I 32.4
hkl 0 0 4, 23.5 deg, I 29.2
hkl 2 0 4, 49.8 deg, I 22.2